Diffraction record for Rb2Fe2O3. The powder X-ray diffraction pattern is computed, not measured: it uses DFT lattice parameters and positions (GGA+U) and Cu Ka.
Neutral-atom scattering factors, no anomalous dispersion.

Structure:
Unit cell a=12.0850 b=6.3188 c=8.2101 alpha=90.00 beta=90.00 gamma=90.00
Fractional positions:
1 Rb 0.0583 0.2500 0.1223
2 Rb 0.1201 0.7500 0.5007
3 Rb 0.3799 0.2500 0.0007
4 Rb 0.4417 0.7500 0.6223
5 Rb 0.5583 0.2500 0.3777
6 Rb 0.6201 0.7500 0.9993
7 Rb 0.8799 0.2500 0.4993
8 Rb 0.9417 0.7500 0.8777
9 Fe 0.1449 0.2500 0.7195
10 Fe 0.2270 0.7500 0.9024
11 Fe 0.2730 0.2500 0.4024
12 Fe 0.3551 0.7500 0.2195
13 Fe 0.6449 0.2500 0.7805
14 Fe 0.7270 0.7500 0.5976
15 Fe 0.7730 0.2500 0.0976
16 Fe 0.8551 0.7500 0.2805
17 O 0.1244 0.2500 0.4867
18 O 0.1452 0.5017 0.8475
19 O 0.1452 0.9983 0.8475
20 O 0.3548 0.0017 0.3475
21 O 0.3548 0.4983 0.3475
22 O 0.3756 0.7500 0.9867
23 O 0.6244 0.2500 0.0133
24 O 0.6452 0.5017 0.6525
25 O 0.6452 0.9983 0.6525
26 O 0.8548 0.0017 0.1525
27 O 0.8548 0.4983 0.1525
28 O 0.8756 0.7500 0.5133

The 8 most intense peaks (2θ from 10° to 80°), low angle first:
| Position (°2θ) | I/Imax | index |
| --- | --- | --- |
| 26.93 | 52 | 1 1 2 |
| 28.25 | 86 | 0 2 0 |
| 28.44 | 100 | 3 1 1 |
| 29.87 | 63 | 2 1 2 |
| 31.11 | 27 | 3 0 2 |
| 33.58 | 25 | 1 0 3 |
| 35.76 | 38 | 0 1 3 |
| 42.51 | 31 | 3 2 2 |